Computed X-ray diffraction stick pattern
Compound: TlCu2Cl5
Radiation: CuKα
Structure: a cell relaxed with PBE
Neutral-atom scattering factors, no anomalous dispersion.

Principal peaks in the range 2θ = 15–90°, by intensity:
- d 3.896, I = 100.0
- d 4.504, I = 76.5
- d 4.368, I = 73.6
- d 2.738, I = 66.9
- d 3.041, I = 62.3
- d 3.240, I = 54.5
- d 2.721, I = 41.4
- d 2.506, I = 36.0
- d 1.919, I = 35.4
- d 1.948, I = 34.8
- d 2.896, I = 32.1
- d 3.278, I = 31.9

Cell and atoms:
```
TlCu2Cl5
1.0
6.236 0.000 0.000
-1.384 6.088 0.000
-0.149 -0.206 6.479
Tl Cu Cl
1 2 5
Direct
0.000 0.000 0.000 Tl
0.109 0.462 0.556 Cu
0.468 0.101 0.558 Cu
0.012 0.497 0.877 Cl
0.185 0.817 0.447 Cl
0.368 0.359 0.361 Cl
0.497 0.009 0.881 Cl
0.827 0.172 0.454 Cl
```

=====

Computed X-ray diffraction stick pattern
Compound: Ca5Ga2N4
Radiation: CuKα
Structure: a cell relaxed with PBE
Neutral-atom scattering factors, no anomalous dispersion.

Principal peaks in the range 2θ = 15–90°, by intensity:
- d 2.797, I = 100.0
- d 2.740, I = 95.1
- d 2.442, I = 88.1
- d 2.607, I = 57.8
- d 2.414, I = 46.5
- d 4.273, I = 45.1
- d 1.782, I = 34.1
- d 2.284, I = 29.5
- d 2.196, I = 28.3
- d 4.411, I = 22.9
- d 1.860, I = 22.2
- d 1.399, I = 21.7

Cell and atoms:
```
Ca5Ga2N4
1.0
2.442 -5.598 0.000
2.442 5.598 0.000
0.000 0.000 14.325
Ca Ga N
10 4 8
Direct
0.000 0.000 0.000 Ca
0.116 0.884 0.674 Ca
0.229 0.771 0.419 Ca
0.271 0.729 0.919 Ca
0.384 0.616 0.174 Ca
0.500 0.500 0.500 Ca
0.616 0.384 0.826 Ca
0.729 0.271 0.081 Ca
0.771 0.229 0.581 Ca
0.884 0.116 0.326 Ca
0.094 0.906 0.193 Ga
0.406 0.594 0.693 Ga
0.594 0.406 0.307 Ga
0.906 0.094 0.807 Ga
0.080 0.920 0.843 N
0.194 0.806 0.080 N
0.306 0.694 0.580 N
0.420 0.580 0.343 N
0.580 0.420 0.657 N
0.694 0.306 0.420 N
0.806 0.194 0.920 N
0.920 0.080 0.157 N
```

=====

Computed X-ray diffraction stick pattern
Compound: ThAsAuN
Radiation: CuKα
Structure: a cell relaxed with PBE
Neutral-atom scattering factors, no anomalous dispersion.

Principal peaks in the range 2θ = 15–90°, by intensity:
- d 2.686, I = 100.0
- d 2.510, I = 64.6
- d 1.481, I = 34.1
- d 1.946, I = 32.2
- d 1.576, I = 31.7
- d 3.411, I = 31.4
- d 3.080, I = 29.4
- d 1.775, I = 23.0
- d 1.179, I = 20.8
- d 1.538, I = 15.4
- d 1.589, I = 11.6
- d 1.123, I = 10.9

Cell and atoms:
```
ThAsAuN
1.0
-1.775 1.775 6.160
1.775 -1.775 6.160
1.775 1.775 -6.160
Th As Au N
1 1 1 1
Direct
0.000 0.000 0.000 Th
0.730 0.730 0.000 As
0.306 0.306 0.000 Au
0.495 0.495 0.000 N
```

=====

Computed X-ray diffraction stick pattern
Compound: Li5Tl2Ag2Hg
Radiation: CuKα
Structure: a cell relaxed with PBE
Neutral-atom scattering factors, no anomalous dispersion.

Principal peaks in the range 2θ = 15–90°, by intensity:
- d 3.324, I = 100.0
- d 2.416, I = 93.7
- d 3.517, I = 73.6
- d 2.552, I = 39.3
- d 3.716, I = 25.2
- d 1.554, I = 21.9
- d 2.064, I = 20.2
- d 1.568, I = 19.9
- d 1.954, I = 17.5
- d 1.643, I = 15.7
- d 2.350, I = 15.7
- d 1.752, I = 13.9

Cell and atoms:
```
Li5Tl2Ag2Hg
1.0
10.511 0.000 0.000
0.000 10.511 0.000
0.000 0.000 3.517
Li Tl Ag Hg
10 4 4 2
Direct
0.000 0.500 0.000 Li
0.060 0.196 0.000 Li
0.196 0.940 0.000 Li
0.304 0.440 0.000 Li
0.440 0.696 0.000 Li
0.500 0.000 0.000 Li
0.560 0.304 0.000 Li
0.696 0.560 0.000 Li
0.804 0.060 0.000 Li
0.940 0.804 0.000 Li
0.170 0.670 0.500 Tl
0.330 0.170 0.500 Tl
0.670 0.830 0.500 Tl
0.830 0.330 0.500 Tl
0.131 0.369 0.500 Ag
0.369 0.869 0.500 Ag
0.631 0.131 0.500 Ag
0.869 0.631 0.500 Ag
0.000 0.000 0.500 Hg
0.500 0.500 0.500 Hg
```

=====

Computed X-ray diffraction stick pattern
Compound: SbH3SO4F6
Radiation: CuKα
Structure: a cell relaxed with PBE
Neutral-atom scattering factors, no anomalous dispersion.

Principal peaks in the range 2θ = 15–90°, by intensity:
- d 4.083, I = 100.0
- d 4.364, I = 66.7
- d 4.813, I = 63.3
- d 5.111, I = 43.5
- d 4.201, I = 40.8
- d 3.745, I = 36.0
- d 3.173, I = 35.2
- d 4.395, I = 33.6
- d 4.310, I = 31.0
- d 3.692, I = 28.6
- d 2.236, I = 28.2
- d 3.654, I = 27.3

Cell and atoms:
```
SbH3SO4F6
1.0
5.352 0.000 0.000
0.015 8.161 0.000
2.360 0.293 9.625
Sb H S O F
2 6 2 8 12
Direct
0.126 0.257 0.318 Sb
0.874 0.743 0.682 Sb
0.179 0.021 0.808 H
0.202 0.460 0.821 H
0.390 0.732 0.416 H
0.610 0.268 0.584 H
0.798 0.540 0.179 H
0.821 0.979 0.192 H
0.422 0.235 0.802 S
0.578 0.765 0.198 S
0.187 0.126 0.860 O
0.335 0.401 0.864 O
0.346 0.812 0.163 O
0.431 0.245 0.646 O
0.569 0.755 0.354 O
0.654 0.188 0.837 O
0.665 0.599 0.136 O
0.813 0.874 0.140 O
0.004 0.453 0.237 F
0.120 0.695 0.509 F
0.150 0.863 0.734 F
0.233 0.065 0.401 F
0.349 0.215 0.143 F
0.374 0.390 0.373 F
0.626 0.610 0.627 F
0.651 0.785 0.857 F
0.767 0.935 0.599 F
0.850 0.137 0.266 F
0.880 0.305 0.491 F
0.996 0.547 0.763 F
```

=====

Computed X-ray diffraction stick pattern
Compound: FeCo17Pd
Radiation: CuKα
Structure: a cell relaxed with PBE
Neutral-atom scattering factors, no anomalous dispersion.

Principal peaks in the range 2θ = 15–90°, by intensity:
- d 1.981, I = 100.0
- d 2.244, I = 30.3
- d 2.106, I = 21.7
- d 1.190, I = 13.3
- d 1.296, I = 12.2
- d 1.943, I = 9.9
- d 1.104, I = 9.5
- d 1.536, I = 9.0
- d 2.021, I = 8.5
- d 1.765, I = 8.0
- d 1.852, I = 5.6
- d 2.304, I = 5.0

Cell and atoms:
```
FeCo17Pd
1.0
3.887 2.244 4.213
-3.887 2.244 4.213
0.000 -4.488 4.213
Fe Co Pd
1 17 1
Direct
0.000 0.000 0.000 Fe
0.051 0.051 0.411 Co
0.051 0.411 0.051 Co
0.138 0.710 0.710 Co
0.349 0.349 0.761 Co
0.349 0.761 0.349 Co
0.353 0.671 0.993 Co
0.353 0.993 0.671 Co
0.411 0.051 0.051 Co
0.592 0.592 0.592 Co
0.671 0.353 0.993 Co
0.671 0.993 0.353 Co
0.710 0.138 0.710 Co
0.710 0.710 0.138 Co
0.761 0.349 0.349 Co
0.766 0.766 0.766 Co
0.993 0.353 0.671 Co
0.993 0.671 0.353 Co
0.337 0.337 0.337 Pd
```

=====

Computed X-ray diffraction stick pattern
Compound: CeZr7O16
Radiation: CuKα
Structure: a cell relaxed with PBE
Neutral-atom scattering factors, no anomalous dispersion.

Principal peaks in the range 2θ = 15–90°, by intensity:
- d 3.024, I = 100.0
- d 1.858, I = 36.4
- d 1.571, I = 27.2
- d 1.838, I = 19.2
- d 2.599, I = 14.5
- d 1.596, I = 14.4
- d 1.205, I = 11.0
- d 2.658, I = 9.2
- d 1.512, I = 7.4
- d 1.300, I = 5.4
- d 1.194, I = 5.3
- d 1.183, I = 4.5

Cell and atoms:
```
CeZr7O16
1.0
7.352 0.000 0.000
0.000 7.352 0.000
0.000 0.000 5.316
Ce Zr O
1 7 16
Direct
0.000 0.000 0.000 Ce
0.000 0.500 0.001 Zr
0.252 0.252 0.500 Zr
0.252 0.748 0.500 Zr
0.500 0.000 0.999 Zr
0.500 0.500 0.000 Zr
0.748 0.252 0.500 Zr
0.748 0.748 0.500 Zr
0.000 0.249 0.300 O
0.000 0.265 0.785 O
0.000 0.735 0.785 O
0.000 0.751 0.300 O
0.245 0.500 0.192 O
0.249 0.000 0.700 O
0.265 0.000 0.215 O
0.267 0.500 0.692 O
0.500 0.245 0.808 O
0.500 0.267 0.308 O
0.500 0.733 0.308 O
0.500 0.755 0.808 O
0.733 0.500 0.692 O
0.735 0.000 0.215 O
0.751 0.000 0.700 O
0.755 0.500 0.192 O
```

=====

Computed X-ray diffraction stick pattern
Compound: Mg3Mn5
Radiation: CuKα
Structure: a cell relaxed with PBE
Neutral-atom scattering factors, no anomalous dispersion.

Principal peaks in the range 2θ = 15–90°, by intensity:
- d 2.263, I = 100.0
- d 2.199, I = 96.8
- d 2.152, I = 87.8
- d 2.265, I = 86.8
- d 2.301, I = 73.1
- d 2.170, I = 69.4
- d 4.820, I = 44.1
- d 1.672, I = 27.3
- d 4.280, I = 24.4
- d 1.497, I = 20.1
- d 1.270, I = 18.5
- d 1.560, I = 17.7

Cell and atoms:
```
Mg3Mn5
1.0
5.108 0.000 0.000
1.709 6.610 0.000
1.885 0.503 7.408
Mg Mn
6 10
Direct
0.074 0.017 0.169 Mg
0.140 0.273 0.575 Mg
0.207 0.588 0.044 Mg
0.793 0.412 0.956 Mg
0.860 0.727 0.425 Mg
0.926 0.983 0.831 Mg
0.114 0.621 0.700 Mn
0.316 0.890 0.471 Mn
0.389 0.212 0.876 Mn
0.426 0.542 0.351 Mn
0.481 0.190 0.233 Mn
0.519 0.810 0.767 Mn
0.574 0.458 0.649 Mn
0.611 0.788 0.124 Mn
0.684 0.110 0.529 Mn
0.886 0.379 0.300 Mn
```

=====

Computed X-ray diffraction stick pattern
Compound: Pr4NdY3S8
Radiation: CuKα
Structure: a cell relaxed with PBE
Neutral-atom scattering factors, no anomalous dispersion.

Principal peaks in the range 2θ = 15–90°, by intensity:
- d 2.852, I = 100.0
- d 3.281, I = 46.8
- d 2.028, I = 36.0
- d 2.005, I = 35.2
- d 1.640, I = 18.2
- d 3.330, I = 16.4
- d 1.718, I = 15.6
- d 1.281, I = 15.4
- d 1.270, I = 15.3
- d 1.162, I = 11.6
- d 1.426, I = 11.2
- d 1.732, I = 8.6

Cell and atoms:
```
Pr4NdY3S8
1.0
4.011 2.316 6.660
-4.011 2.316 6.660
0.000 -4.631 6.660
Pr Nd Y S
4 1 3 8
Direct
0.000 0.000 0.000 Pr
0.000 0.500 0.500 Pr
0.500 0.000 0.500 Pr
0.500 0.500 0.000 Pr
0.500 0.500 0.500 Nd
0.000 0.000 0.500 Y
0.000 0.500 0.000 Y
0.500 0.000 0.000 Y
0.238 0.749 0.749 S
0.244 0.244 0.244 S
0.251 0.251 0.762 S
0.251 0.762 0.251 S
0.749 0.238 0.749 S
0.749 0.749 0.238 S
0.756 0.756 0.756 S
0.762 0.251 0.251 S
```